(1)
Starting from a GGA-PBE-relaxed structure, the X-ray diffraction stick pattern of NbV14W was computed for copper Kα.

Structural model:
```
16
Lattice="3.0513 -4.2749 0.0000 3.0513 4.2749 0.0000 0.0000 0.0000 8.5869" Properties=species:S:1:pos:R:3 pbc="T T T"
Nb 0.0000 0.0000 0.0000
V 0.0000 0.0000 4.2935
V 1.5256 2.1375 0.0000
V 1.5256 2.1375 4.2935
V 3.0513 2.1339 2.2243
V 3.0513 2.1339 6.3626
V 1.5441 0.0000 2.2287
V 1.5441 0.0000 6.3583
V 1.5256 -2.1375 0.0000
V 1.5256 -2.1375 4.2935
V 3.0513 0.0000 4.2935
V 4.5584 0.0000 2.2287
V 4.5584 0.0000 6.3583
V 3.0513 -2.1339 2.2243
V 3.0513 -2.1339 6.3626
W 3.0513 0.0000 0.0000
```

Main lines, by angle (10 to 90 degrees two-theta):
2theta  intensity
10.30  13.2
20.67  7.8
23.24  6.1
42.04  100.0
42.28  19.8
60.70  6.3
61.19  12.0
76.75  6.0
76.88  11.4
77.15  11.8

---

(2)
Starting from a GGA-PBE-relaxed structure, the X-ray diffraction stick pattern of Nb2V2W3 was computed for copper Kα.

Structural model:
```
7
Lattice="2.7597 0.0000 0.0000 0.0007 4.4593 0.0000 0.8887 2.2195 9.0833" Properties=species:S:1:pos:R:3 pbc="T T T"
Nb 0.4521 2.2244 2.5470
Nb 3.1969 4.4545 6.5363
V 1.3571 2.2223 7.8516
V 2.2920 4.4566 1.2317
W 1.3730 4.4544 3.8708
W 1.3802 2.2297 0.0000
W 2.2761 2.2245 5.2125
```

Main lines, by angle (10 to 90 degrees two-theta):
2theta  intensity
19.55  9.1
24.80  11.4
39.98  25.4
40.19  100.0
40.46  24.6
58.12  16.7
58.21  8.4
72.75  17.6
73.17  8.3
73.40  16.7

---

(3)
Starting from a GGA-PBE-relaxed structure, the X-ray diffraction stick pattern of Nb2V6W was computed for copper Kα.

Structural model:
```
18
Lattice="2.9990 -11.5051 0.0000 2.9990 11.5051 0.0000 -2.2470 0.0000 3.9976" Properties=species:S:1:pos:R:3 pbc="T T T"
Nb 0.8897 3.4416 0.3907
Nb -0.2338 -3.4416 2.3895
Nb 3.9848 3.4416 1.6081
Nb 2.8613 -3.4416 3.6069
V -0.6577 1.1864 2.4571
V 1.4325 5.8866 1.6147
V 0.4658 -1.1864 0.4583
V 1.4218 1.0767 1.5451
V 3.4420 5.8866 0.3841
V 0.2983 -1.0767 3.5439
V 3.4528 1.0767 0.4537
V 0.3090 -5.8866 3.6135
V 2.3293 -1.0767 2.4526
V 3.2853 1.1864 3.5393
V 2.3185 -5.8866 2.3829
V 4.4088 -1.1864 1.5405
W 1.3138 3.4397 2.9982
W 2.4373 -3.4397 0.9994
```

Main lines, by angle (10 to 90 degrees two-theta):
2theta  intensity
15.40  20.7
31.33  51.5
34.18  15.1
38.53  14.3
39.15  53.5
39.62  100.0
41.39  27.5
43.99  24.8
53.95  14.8
71.25  20.5

---

(4)
Starting from a GGA-PBE-relaxed structure, the X-ray diffraction stick pattern of Nb2V5W was computed for copper Kα.

Structural model:
```
16
Lattice="5.2425 0.0000 0.0000 0.0000 10.3500 0.0000 0.0000 0.0000 4.4610" Properties=species:S:1:pos:R:3 pbc="T T T"
Nb 0.8240 1.3637 0.0000
Nb 1.7972 6.5387 0.0000
Nb 3.4452 3.8113 0.0000
Nb 4.4185 8.9863 0.0000
V 0.0000 0.0000 2.2305
V 0.7893 7.7934 2.2305
V 0.8290 4.0144 0.0000
V 1.7922 9.1894 0.0000
V 1.8319 2.6184 2.2305
V 2.6212 5.1750 2.2305
V 3.4105 7.7316 2.2305
V 3.4503 1.1606 0.0000
V 4.4134 6.3356 0.0000
V 4.4532 2.5566 2.2305
W 0.0000 5.1750 2.2305
W 2.6212 0.0000 2.2305
```

Main lines, by angle (10 to 90 degrees two-theta):
2theta  intensity
17.13  18.6
18.98  17.1
27.63  36.2
31.03  19.2
38.50  20.9
39.89  27.3
40.29  100.0
40.44  50.8
40.87  40.7
43.71  29.1

---

(5)
Starting from a GGA-PBE-relaxed structure, the X-ray diffraction stick pattern of Nb3VZn was computed for copper Kα.

Structural model:
```
5
Lattice="4.6342 0.0000 0.0000 0.0000 4.6342 0.0000 0.0000 0.0000 4.6342" Properties=species:S:1:pos:R:3 pbc="T T T"
Nb 0.0000 0.0000 2.3171
Nb 0.0000 2.3171 0.0000
Nb 2.3171 0.0000 0.0000
V 0.0000 0.0000 0.0000
Zn 2.3171 2.3171 2.3171
```

Main lines, by angle (10 to 90 degrees two-theta):
2theta  intensity
19.15  19.4
33.49  100.0
38.87  86.9
43.68  8.0
56.14  57.2
59.88  3.7
66.97  38.6
70.38  18.7
83.43  8.7
86.61  2.1

---

(6)
Starting from a GGA-PBE-relaxed structure, the X-ray diffraction stick pattern of ZrNb2V9 was computed for copper Kα.

Structural model:
```
12
Lattice="2.6096 1.5067 7.8895 -2.6096 1.5067 7.8895 0.0000 -3.0134 7.8895" Properties=species:S:1:pos:R:3 pbc="T T T"
Zr 0.0000 0.0000 0.0000
Nb 0.0000 0.0000 3.4378
Nb 0.0000 0.0000 20.2307
V -1.3165 -0.7601 9.8627
V 0.0000 0.0000 7.8812
V 0.0000 -1.5202 13.8058
V -1.3165 0.7601 13.8058
V 0.0000 0.0000 11.8342
V 1.3165 -0.7601 9.8627
V 0.0000 1.5202 9.8627
V 0.0000 0.0000 15.7873
V 1.3165 0.7601 13.8058
```

Main lines, by angle (10 to 90 degrees two-theta):
2theta  intensity
33.09  30.6
34.36  42.7
36.29  20.4
40.08  33.6
41.49  100.0
44.42  15.5
46.02  15.2
60.74  10.6
66.42  22.8
72.43  20.3

---

Please write out number 2 again, unchanged.
Starting from a GGA-PBE-relaxed structure, the X-ray diffraction stick pattern of Nb2V2W3 was computed for copper Kα.

Structural model:
```
7
Lattice="2.7597 0.0000 0.0000 0.0007 4.4593 0.0000 0.8887 2.2195 9.0833" Properties=species:S:1:pos:R:3 pbc="T T T"
Nb 0.4521 2.2244 2.5470
Nb 3.1969 4.4545 6.5363
V 1.3571 2.2223 7.8516
V 2.2920 4.4566 1.2317
W 1.3730 4.4544 3.8708
W 1.3802 2.2297 0.0000
W 2.2761 2.2245 5.2125
```

Main lines, by angle (10 to 90 degrees two-theta):
2theta  intensity
19.55  9.1
24.80  11.4
39.98  25.4
40.19  100.0
40.46  24.6
58.12  16.7
58.21  8.4
72.75  17.6
73.17  8.3
73.40  16.7